Structure and calculated powder X-ray diffraction pattern of Li2Ga3Te6H12O24 (a cell relaxed with PBE; a wavelength of 1.5418 Å).
Neutral-atom scattering factors, no anomalous dispersion.

Cell and atoms:
abc: 9.3893 9.3893 26.0023
angles: 90.00 90.00 120.00
Space group R-3 (No. 148, hexagonal axes)
Unique sites:
Li  0.0000  0.0000  0.1958 [6 per cell]
Ga  0.0000  0.0000  0.3072 [6 per cell]
Ga  0.0000  0.0000  0.5000 [3 per cell]
Te  0.0397  0.5494  0.0684 [18 per cell]
H  0.0222  0.4369  0.8110 [18 per cell]
H  0.0684  0.8562  0.8710 [18 per cell]
O  0.0103  0.8350  0.2601 [18 per cell]
O  0.0115  0.1853  0.3496 [18 per cell]
O  0.0267  0.1875  0.4571 [18 per cell]
O  0.0271  0.1906  0.1513 [18 per cell]

Top 6 peaks for 2θ from 15° to 90°, by angle:
| 2θ/deg | I_rel |
| --- | --- |
| 22.13 | 100 |
| 22.92 | 50 |
| 27.85 | 65 |
| 28.02 | 53 |
| 32.65 | 54 |
| 35.36 | 56 |


Structure and calculated powder X-ray diffraction pattern of MgGaH5 (a cell relaxed with PBE; a wavelength of 1.5418 Å).
Neutral-atom scattering factors, no anomalous dispersion.

Cell and atoms:
abc: 6.6140 6.9949 10.2739
angles: 90.00 129.71 90.00
Space group P2_1/c (No. 14)
Unique sites:
Mg  0.0038  0.1312  0.2572 [4 per cell]
Ga  0.3649  0.6243  0.1176 [4 per cell]
H  0.0658  0.1168  0.8134 [4 per cell]
H  0.2403  0.0692  0.5076 [4 per cell]
H  0.2445  0.6907  0.4970 [4 per cell]
H  0.3052  0.6331  0.2457 [4 per cell]
H  0.3244  0.1179  0.2710 [4 per cell]

Top 6 peaks for 2θ from 15° to 90°, by angle:
| 2θ/deg | I_rel |
| --- | --- |
| 16.93 | 90 |
| 21.64 | 91 |
| 25.90 | 60 |
| 26.96 | 95 |
| 27.90 | 100 |
| 29.19 | 40 |


Structure and calculated powder X-ray diffraction pattern of MgGa4P6H6O18 (a cell relaxed with PBE; a wavelength of 1.5418 Å).
Neutral-atom scattering factors, no anomalous dispersion.

Cell and atoms:
abc: 8.4386 7.0818 8.4973
angles: 90.00 117.07 90.00
Space group Pm (No. 6)
Unique sites:
Mg  0.0000  0.0000  0.0000 [1 per cell]
Ga  0.3144  0.1794  0.3002 [2 per cell]
Ga  0.9561  0.2972  0.6132 [2 per cell]
P  0.0223  0.5000  0.9976 [1 per cell]
P  0.2578  0.0000  0.8334 [1 per cell]
P  0.2759  0.5000  0.5626 [1 per cell]
P  0.5973  0.5000  0.3039 [1 per cell]
P  0.7071  0.0000  0.6754 [1 per cell]
P  0.8098  0.0000  0.2780 [1 per cell]
H  0.3869  0.5000  0.7453 [1 per cell]
H  0.4406  0.0000  0.8822 [1 per cell]
H  0.6238  0.0000  0.1986 [1 per cell]
H  0.6245  0.0000  0.7866 [1 per cell]
H  0.6790  0.5000  0.1927 [1 per cell]
H  0.8412  0.5000  0.9569 [1 per cell]
O  0.0303  0.5000  0.8162 [1 per cell]
O  0.0777  0.5000  0.5323 [1 per cell]
O  0.0991  0.3143  0.0994 [2 per cell]
O  0.1835  0.1811  0.7265 [2 per cell]
O  0.2343  0.0000  0.0014 [1 per cell]
O  0.3189  0.3183  0.4927 [2 per cell]
O  0.4868  0.3188  0.2611 [2 per cell]
O  0.5733  0.0000  0.4846 [1 per cell]
O  0.7526  0.5000  0.5005 [1 per cell]
O  0.8377  0.1723  0.7421 [2 per cell]
O  0.8615  0.0000  0.1279 [1 per cell]
O  0.8719  0.1803  0.3907 [2 per cell]

Top 6 peaks for 2θ from 15° to 90°, by angle:
| 2θ/deg | I_rel |
| --- | --- |
| 23.70 | 51 |
| 24.61 | 77 |
| 26.86 | 51 |
| 27.75 | 89 |
| 32.40 | 91 |
| 33.00 | 100 |


Structure and calculated powder X-ray diffraction pattern of MgGa4P6H6O18 (a cell relaxed with PBE; a wavelength of 1.5418 Å).
Neutral-atom scattering factors, no anomalous dispersion.

Cell and atoms:
abc: 8.6696 8.6696 7.4836
angles: 90.00 90.00 120.00
Space group P-6 (No. 174)
Unique sites:
Mg  0.0000  0.0000  0.0000 [1 per cell]
Ga  0.0000  0.0000  0.3471 [2 per cell]
Ga  0.6667  0.3333  0.2111 [2 per cell]
P  0.3063  0.0256  0.0000 [3 per cell]
P  0.4336  0.4070  0.5000 [3 per cell]
H  0.1062  0.4611  0.0000 [3 per cell]
H  0.1461  0.5893  0.5000 [3 per cell]
O  0.0034  0.1890  0.1645 [6 per cell]
O  0.2518  0.2376  0.5000 [3 per cell]
O  0.4753  0.2109  0.0000 [3 per cell]
O  0.5412  0.4325  0.3260 [6 per cell]

Top 6 peaks for 2θ from 15° to 90°, by angle:
| 2θ/deg | I_rel |
| --- | --- |
| 20.49 | 63 |
| 23.72 | 100 |
| 26.57 | 61 |
| 31.57 | 60 |
| 33.80 | 32 |
| 48.57 | 60 |


Structure and calculated powder X-ray diffraction pattern of MgGa4P6H6O18 (a cell relaxed with PBE; a wavelength of 1.5418 Å).
Neutral-atom scattering factors, no anomalous dispersion.

Cell and atoms:
abc: 8.5102 8.5102 8.1016
angles: 90.00 90.00 120.00
Space group P-6 (No. 174)
Unique sites:
Mg  0.0000  0.0000  0.0000 [1 per cell]
Ga  0.0000  0.0000  0.2997 [2 per cell]
Ga  0.3333  0.6667  0.2871 [2 per cell]
P  0.0417  0.4203  0.0000 [3 per cell]
P  0.3162  0.3137  0.5000 [3 per cell]
H  0.5045  0.3807  0.5000 [3 per cell]
H  0.5161  0.1417  0.0000 [3 per cell]
O  0.0529  0.2475  0.0000 [3 per cell]
O  0.1135  0.5284  0.1639 [6 per cell]
O  0.1937  0.7166  0.5000 [3 per cell]
O  0.2389  0.1933  0.3455 [6 per cell]

Top 6 peaks for 2θ from 15° to 90°, by angle:
| 2θ/deg | I_rel |
| --- | --- |
| 20.88 | 56 |
| 23.62 | 100 |
| 24.15 | 30 |
| 30.47 | 89 |
| 36.58 | 38 |
| 39.52 | 28 |


Structure and calculated powder X-ray diffraction pattern of NaGaH8N4 (a cell relaxed with PBE; a wavelength of 1.5418 Å).
Neutral-atom scattering factors, no anomalous dispersion.

Cell and atoms:
abc: 7.7213 6.3782 17.0269
angles: 90.00 93.25 90.00
Space group P2_1/c (No. 14)
Unique sites:
Na  0.1804  0.0720  0.3058 [4 per cell]
Ga  0.2734  0.7196  0.1905 [4 per cell]
H  0.0200  0.7098  0.5170 [4 per cell]
H  0.0340  0.6564  0.6327 [4 per cell]
H  0.4101  0.5588  0.5677 [4 per cell]
H  0.4265  0.7391  0.3137 [4 per cell]
H  0.4415  0.1742  0.8731 [4 per cell]
H  0.4488  0.2119  0.5717 [4 per cell]
H  0.4553  0.7337  0.9248 [4 per cell]
H  0.4730  0.7013  0.0469 [4 per cell]
N  0.0167  0.0818  0.0197 [4 per cell]
N  0.0641  0.6845  0.1380 [4 per cell]
N  0.4044  0.6560  0.7685 [4 per cell]
N  0.4487  0.6991  0.5919 [4 per cell]

Top 6 peaks for 2θ from 15° to 90°, by angle:
| 2θ/deg | I_rel |
| --- | --- |
| 15.07 | 41 |
| 17.38 | 100 |
| 18.05 | 91 |
| 25.18 | 35 |
| 25.92 | 29 |
| 33.57 | 29 |


What is the formula in the fifth record? MgGa4P6H6O18